No. 1
For PaTe2PdS, a crystal structure in Alexandria, relaxed with PBE gives the theoretical powder diffraction line list in this record (Cu Kα (λ = 1.5418 Å)).
Lines closer than 0.1° are merged.

Structure:
a = 4.1659 Å, b = 4.1659 Å, c = 14.3925 Å
α = 90.00°, β = 90.00°, γ = 90.00°
Space group P4/nmm (No. 129, origin choice 2)
Asymmetric unit:
Pa (0.2500, 0.2500, 0.1225)
Te (0.2500, 0.2500, 0.4131)
Te (0.2500, 0.2500, 0.7836)
Pd (0.2500, 0.2500, 0.5987)
S (0.2500, 0.7500, 0.0000)

Principal peaks in the range 10° ≤ 2θ ≤ 90°, low angle first:
2θ = 18.49°, I 12.1; 2θ = 24.71°, I 50.1; 2θ = 28.37°, I 64.5; 2θ = 30.34°, I 100.0; 2θ = 35.77°, I 20.6; 2θ = 39.54°, I 36.2; 2θ = 43.49°, I 84.3; 2θ = 48.97°, I 16.1; 2θ = 50.63°, I 21.1; 2θ = 52.71°, I 23.7; 2θ = 63.17°, I 40.3; 2θ = 71.63°, I 17.3

No. 2
For PaTl3Pd2S6, a crystal structure in Alexandria, relaxed with PBE gives the theoretical powder diffraction line list in this record (Cu Kα (λ = 1.5418 Å)).
Lines closer than 0.1° are merged.

Structure:
a = 6.3541 Å, b = 11.0159 Å, c = 8.1488 Å
α = 90.00°, β = 105.13°, γ = 90.00°
Space group C2/m (No. 12)
Asymmetric unit:
Pa (0.0000, 0.0000, 0.0000)
Tl (0.0000, 0.1650, 0.5000)
Tl (0.0000, 0.5000, 0.5000)
Pd (0.0000, 0.3335, 0.0000)
S (0.2091, 0.5000, 0.1847)
S (0.2380, 0.1769, 0.1853)

Principal peaks in the range 10° ≤ 2θ ≤ 90°, low angle first:
2θ = 22.61°, I 43.3; 2θ = 29.10°, I 62.3; 2θ = 31.98°, I 100.0; 2θ = 41.78°, I 42.2; 2θ = 48.03°, I 14.9; 2θ = 49.68°, I 29.9; 2θ = 55.23°, I 25.1; 2θ = 58.60°, I 10.9; 2θ = 60.31°, I 16.0; 2θ = 62.35°, I 12.4; 2θ = 70.14°, I 15.4; 2θ = 81.82°, I 13.4

No. 3
For Pa2SbPd5, a crystal structure in Alexandria, relaxed with PBE gives the theoretical powder diffraction line list in this record (Cu Kα (λ = 1.5418 Å)).
Lines closer than 0.1° are merged.

Structure:
a = 6.4122 Å, b = 6.4122 Å, c = 7.6070 Å
α = 90.00°, β = 90.00°, γ = 90.00°
Space group I4mm (No. 107)
Asymmetric unit:
Pa (0.0000, 0.5000, 0.0000)
Sb (0.0000, 0.0000, 0.3907)
Pd (0.0000, 0.0000, 0.0312)
Pd (0.2148, 0.2148, 0.7426)

Principal peaks in the range 10° ≤ 2θ ≤ 90°, low angle first:
2θ = 19.58°, I 9.5; 2θ = 27.83°, I 8.8; 2θ = 30.68°, I 21.3; 2θ = 33.39°, I 9.3; 2θ = 36.66°, I 100.0; 2θ = 38.17°, I 8.8; 2θ = 39.76°, I 45.3; 2θ = 47.84°, I 11.3; 2θ = 57.49°, I 13.2; 2θ = 63.91°, I 20.3; 2θ = 67.53°, I 10.9; 2θ = 70.14°, I 22.0

No. 4
For Pa2SbPd4, a crystal structure in Alexandria, relaxed with PBE gives the theoretical powder diffraction line list in this record (Cu Kα (λ = 1.5418 Å)).
Lines closer than 0.1° are merged.

Structure:
a = 5.4145 Å, b = 11.3385 Å, c = 5.3132 Å
α = 90.00°, β = 90.00°, γ = 90.00°
Space group Cmmm (No. 65)
Asymmetric unit:
Pa (0.0000, 0.1378, 0.0000)
Sb (0.0000, 0.5000, 0.5000)
Pd (0.0000, 0.1194, 0.5000)
Pd (0.0000, 0.3824, 0.0000)

Principal peaks in the range 10° ≤ 2θ ≤ 90°, low angle first:
2θ = 16.69°, I 54.5; 2θ = 28.81°, I 74.1; 2θ = 31.56°, I 60.4; 2θ = 33.09°, I 100.0; 2θ = 33.74°, I 94.9; 2θ = 35.91°, I 47.6; 2θ = 44.94°, I 45.0; 2θ = 46.38°, I 41.9; 2θ = 46.87°, I 40.7; 2θ = 47.98°, I 70.8; 2θ = 49.63°, I 38.6; 2θ = 58.57°, I 42.0

No. 5
For ScPaPd14, a crystal structure in Alexandria, relaxed with PBE gives the theoretical powder diffraction line list in this record (Cu Kα (λ = 1.5418 Å)).
Lines closer than 0.1° are merged.

Structure:
a = 5.7497 Å, b = 5.7497 Å, c = 7.8451 Å
α = 90.00°, β = 90.00°, γ = 90.00°
Space group P4/mmm (No. 123)
Asymmetric unit:
Sc (0.0000, 0.0000, 0.0000)
Pa (0.5000, 0.5000, 0.0000)
Pd (0.0000, 0.0000, 0.5000)
Pd (0.0000, 0.5000, 0.0000)
Pd (0.0000, 0.5000, 0.5000)
Pd (0.2498, 0.2498, 0.2507)
Pd (0.5000, 0.5000, 0.5000)

Principal peaks in the range 10° ≤ 2θ ≤ 90°, low angle first:
2θ = 15.41°, I 4.6; 2θ = 19.14°, I 5.8; 2θ = 27.53°, I 2.5; 2θ = 36.78°, I 2.4; 2θ = 38.84°, I 100.0; 2θ = 44.57°, I 33.7; 2θ = 46.29°, I 15.1; 2θ = 64.87°, I 10.8; 2θ = 66.21°, I 20.3; 2θ = 78.25°, I 25.0; 2θ = 80.74°, I 11.5; 2θ = 83.36°, I 10.7

No. 6
For PaTlPd2Se4, a crystal structure in Alexandria, relaxed with PBE gives the theoretical powder diffraction line list in this record (Cu Kα (λ = 1.5418 Å)).
Lines closer than 0.1° are merged.

Structure:
a = 6.9095 Å, b = 7.2417 Å, c = 7.3155 Å
α = 90.00°, β = 90.00°, γ = 90.00°
Space group I222 (No. 23)
Asymmetric unit:
Pa (0.0000, 0.0000, 0.0000)
Tl (0.0000, 0.0000, 0.5000)
Pd (0.0000, 0.5000, 0.3040)
Se (0.2359, 0.2431, 0.7913)

Principal peaks in the range 10° ≤ 2θ ≤ 90°, low angle first:
2θ = 17.74°, I 20.4; 2θ = 30.28°, I 100.0; 2θ = 34.87°, I 25.9; 2θ = 35.75°, I 23.9; 2θ = 35.93°, I 77.0; 2θ = 46.98°, I 30.4; 2θ = 48.36°, I 27.9; 2θ = 50.41°, I 14.7; 2θ = 53.34°, I 12.5; 2θ = 61.11°, I 13.4; 2θ = 62.98°, I 13.3; 2θ = 85.15°, I 12.3